Entry 1:
The following is a simulated powder diffraction line list of Ti7Nb2Bi3. It was derived from a cell relaxed with PBE, using Cu Kα (weighted mean of Kα1 and Kα2).

Cell and atoms:
a = 4.9012 Å, b = 3.1314 Å, c = 15.7501 Å
α = 90.00°, β = 92.11°, γ = 90.00°
Sites, in units of the cell vectors:
Ti: 0.0000 0.0000 0.0000
Ti: 0.2033 0.5000 0.1781
Ti: 0.2556 0.5000 0.5452
Ti: 0.2901 0.0000 0.8568
Ti: 0.7099 0.0000 0.1432
Ti: 0.7444 0.5000 0.4548
Ti: 0.7967 0.5000 0.8219
Nb: 0.2761 0.5000 0.7184
Nb: 0.7239 0.5000 0.2816
Bi: 0.2345 0.0000 0.3719
Bi: 0.5000 0.5000 0.0000
Bi: 0.7655 0.0000 0.6281

Principal peaks in the range 10° ≤ 2θ ≤ 90°, most intense first:
| 2θ (°) | I (rel.) |
| --- | --- |
| 36.12 | 100.0 |
| 36.68 | 88.9 |
| 16.90 | 61.5 |
| 34.37 | 48.3 |
| 21.01 | 42.3 |
| 39.57 | 36.8 |

---

Entry 2:
The following is a simulated powder diffraction line list of Tl2Sn2S3. It was derived from a cell relaxed with PBE, using Cu Kα (weighted mean of Kα1 and Kα2).

Cell and atoms:
a = 8.3417 Å, b = 8.3417 Å, c = 7.1744 Å
α = 104.23°, β = 104.23°, γ = 58.75°
Sites, in units of the cell vectors:
Tl: 0.0164 0.2306 0.0165
Tl: 0.2306 0.0164 0.5165
Tl: 0.7694 0.9836 0.4835
Tl: 0.9836 0.7694 0.9835
Sn: 0.2585 0.5050 0.5409
Sn: 0.4950 0.7415 0.9591
Sn: 0.5050 0.2585 0.0409
Sn: 0.7415 0.4950 0.4591
S: 0.1911 0.3599 0.8100
S: 0.3599 0.1911 0.3100
S: 0.4074 0.5926 0.2500
S: 0.5926 0.4074 0.7500
S: 0.6401 0.8089 0.6900
S: 0.8089 0.6401 0.1900

Principal peaks in the range 10° ≤ 2θ ≤ 90°, most intense first:
| 2θ (°) | I (rel.) |
| --- | --- |
| 30.06 | 100.0 |
| 26.69 | 79.6 |
| 30.93 | 49.7 |
| 25.55 | 46.7 |
| 25.89 | 40.2 |
| 43.46 | 38.6 |

---

Entry 3:
The following is a simulated powder diffraction line list of Sr3CaAc3Se8. It was derived from a cell relaxed with PBE, using Cu Kα (weighted mean of Kα1 and Kα2).

Cell and atoms:
a = 8.8875 Å, b = 8.8875 Å, c = 8.8875 Å
α = 59.91°, β = 59.91°, γ = 59.91°
Sites, in units of the cell vectors:
Sr: 0.0000 0.5000 0.5000
Sr: 0.5000 0.0000 0.5000
Sr: 0.5000 0.5000 0.0000
Ca: 0.5000 0.5000 0.5000
Ac: 0.0000 0.0000 0.5000
Ac: 0.0000 0.5000 0.0000
Ac: 0.5000 0.0000 0.0000
Se: 0.2508 0.2508 0.2508
Se: 0.2572 0.7401 0.7401
Se: 0.2599 0.2599 0.7428
Se: 0.2599 0.7428 0.2599
Se: 0.7401 0.2572 0.7401
Se: 0.7401 0.7401 0.2572
Se: 0.7428 0.2599 0.2599
Se: 0.7492 0.7492 0.7492

Principal peaks in the range 10° ≤ 2θ ≤ 90°, most intense first:
| 2θ (°) | I (rel.) |
| --- | --- |
| 28.42 | 100.0 |
| 40.63 | 75.8 |
| 66.59 | 34.6 |
| 50.33 | 27.0 |
| 12.19 | 20.5 |
| 73.97 | 19.2 |

---

Entry 4:
The following is a simulated powder diffraction line list of YCuCl3. It was derived from a cell relaxed with PBE, using Cu Kα (weighted mean of Kα1 and Kα2).

Cell and atoms:
a = 5.2943 Å, b = 5.2943 Å, c = 5.2943 Å
α = 90.00°, β = 90.00°, γ = 90.00°
Sites, in units of the cell vectors:
Y: 0.0000 0.0000 0.0000
Cu: 0.5000 0.5000 0.5000
Cl: 0.0000 0.0000 0.5000
Cl: 0.0000 0.5000 0.0000
Cl: 0.5000 0.0000 0.0000

Principal peaks in the range 10° ≤ 2θ ≤ 90°, most intense first:
| 2θ (°) | I (rel.) |
| --- | --- |
| 23.77 | 100.0 |
| 33.86 | 94.4 |
| 48.64 | 62.5 |
| 41.79 | 45.8 |
| 16.75 | 29.1 |
| 81.26 | 25.5 |

---

Entry 5:
The following is a simulated powder diffraction line list of Ce2AlRu2. It was derived from a cell relaxed with PBE, using Cu Kα (weighted mean of Kα1 and Kα2).

Cell and atoms:
a = 5.8306 Å, b = 5.8306 Å, c = 6.8768 Å
α = 90.00°, β = 90.00°, γ = 118.90°
Sites, in units of the cell vectors:
Ce: 0.1593 0.8407 0.9209
Ce: 0.3407 0.6593 0.4209
Ce: 0.6593 0.3407 0.5791
Ce: 0.8407 0.1593 0.0791
Al: 0.0000 0.0000 0.5000
Al: 0.5000 0.5000 0.0000
Ru: 0.1288 0.3712 0.7500
Ru: 0.3712 0.1288 0.2500
Ru: 0.6288 0.8712 0.7500
Ru: 0.8712 0.6288 0.2500

Principal peaks in the range 10° ≤ 2θ ≤ 90°, most intense first:
| 2θ (°) | I (rel.) |
| --- | --- |
| 37.59 | 100.0 |
| 33.39 | 94.1 |
| 43.39 | 65.5 |
| 31.37 | 59.0 |
| 40.17 | 57.6 |
| 21.68 | 41.8 |

---

Entry 6:
The following is a simulated powder diffraction line list of Ti3Ga6Ir. It was derived from a cell relaxed with PBE, using Cu Kα (weighted mean of Kα1 and Kα2).

Cell and atoms:
a = 6.9318 Å, b = 6.9318 Å, c = 6.9318 Å
α = 94.80°, β = 94.80°, γ = 94.80°
Sites, in units of the cell vectors:
Ti: 0.1745 0.7500 0.3255
Ti: 0.2500 0.6745 0.8255
Ti: 0.3255 0.1745 0.7500
Ti: 0.6745 0.8255 0.2500
Ti: 0.7500 0.3255 0.1745
Ti: 0.8255 0.2500 0.6745
Ga: 0.0070 0.9092 0.6463
Ga: 0.0908 0.3537 0.9930
Ga: 0.1463 0.4092 0.5070
Ga: 0.3537 0.9930 0.0908
Ga: 0.4092 0.5070 0.1463
Ga: 0.4930 0.8537 0.5908
Ga: 0.5070 0.1463 0.4092
Ga: 0.5908 0.4930 0.8537
Ga: 0.6463 0.0070 0.9092
Ga: 0.8537 0.5908 0.4930
Ga: 0.9092 0.6463 0.0070
Ga: 0.9930 0.0908 0.3537
Ir: 0.0000 0.0000 0.0000
Ir: 0.5000 0.5000 0.5000

Principal peaks in the range 10° ≤ 2θ ≤ 90°, most intense first:
| 2θ (°) | I (rel.) |
| --- | --- |
| 40.31 | 100.0 |
| 37.60 | 55.6 |
| 25.91 | 51.3 |
| 38.68 | 50.9 |
| 17.38 | 41.7 |
| 49.94 | 29.8 |

---

Entry 7:
The following is a simulated powder diffraction line list of Al2Fe21B6. It was derived from a cell relaxed with PBE, using Cu Kα (weighted mean of Kα1 and Kα2).

Cell and atoms:
a = 7.5074 Å, b = 7.5074 Å, c = 7.5074 Å
α = 60.00°, β = 60.00°, γ = 60.00°
Sites, in units of the cell vectors:
Al: 0.2500 0.2500 0.2500
Al: 0.7500 0.7500 0.7500
Fe: 0.0000 0.0000 0.0000
Fe: 0.0000 0.0000 0.3425
Fe: 0.0000 0.0000 0.6575
Fe: 0.0000 0.3425 0.0000
Fe: 0.0000 0.3425 0.6575
Fe: 0.0000 0.6575 0.0000
Fe: 0.0000 0.6575 0.3425
Fe: 0.1529 0.6157 0.6157
Fe: 0.3425 0.0000 0.0000
Fe: 0.3425 0.0000 0.6575
Fe: 0.3425 0.6575 0.0000
Fe: 0.3843 0.3843 0.3843
Fe: 0.3843 0.3843 0.8471
Fe: 0.3843 0.8471 0.3843
Fe: 0.6157 0.1529 0.6157
Fe: 0.6157 0.6157 0.1529
Fe: 0.6157 0.6157 0.6157
Fe: 0.6575 0.0000 0.0000
Fe: 0.6575 0.0000 0.3425
Fe: 0.6575 0.3425 0.0000
Fe: 0.8471 0.3843 0.3843
B: 0.2742 0.2742 0.7258
B: 0.2742 0.7258 0.2742
B: 0.2742 0.7258 0.7258
B: 0.7258 0.2742 0.2742
B: 0.7258 0.2742 0.7258
B: 0.7258 0.7258 0.2742

Principal peaks in the range 10° ≤ 2θ ≤ 90°, most intense first:
| 2θ (°) | I (rel.) |
| --- | --- |
| 44.33 | 100.0 |
| 50.88 | 26.7 |
| 76.07 | 18.3 |
| 41.68 | 17.9 |
| 48.50 | 16.0 |
| 51.66 | 15.8 |

---

Entry 8:
The following is a simulated powder diffraction line list of Na2Sr2Cd15. It was derived from a cell relaxed with PBE, using Cu Kα (weighted mean of Kα1 and Kα2).

Cell and atoms:
a = 7.8377 Å, b = 7.8377 Å, c = 7.8377 Å
α = 83.50°, β = 83.50°, γ = 83.50°
Sites, in units of the cell vectors:
Na: 0.1005 0.1005 0.1005
Na: 0.8995 0.8995 0.8995
Sr: 0.3443 0.3443 0.3443
Sr: 0.6557 0.6557 0.6557
Cd: 0.0000 0.0000 0.5000
Cd: 0.0000 0.3027 0.6973
Cd: 0.0000 0.5000 0.0000
Cd: 0.0000 0.6973 0.3027
Cd: 0.1620 0.6467 0.6467
Cd: 0.3027 0.0000 0.6973
Cd: 0.3027 0.6973 0.0000
Cd: 0.3533 0.3533 0.8380
Cd: 0.3533 0.8380 0.3533
Cd: 0.5000 0.0000 0.0000
Cd: 0.6467 0.1620 0.6467
Cd: 0.6467 0.6467 0.1620
Cd: 0.6973 0.0000 0.3027
Cd: 0.6973 0.3027 0.0000
Cd: 0.8380 0.3533 0.3533

Principal peaks in the range 10° ≤ 2θ ≤ 90°, most intense first:
| 2θ (°) | I (rel.) |
| --- | --- |
| 34.74 | 100.0 |
| 38.91 | 77.8 |
| 16.99 | 47.7 |
| 35.85 | 47.6 |
| 34.37 | 37.3 |
| 61.55 | 19.7 |

---

Entry 9:
The following is a simulated powder diffraction line list of CeErGe2Rh5. It was derived from a cell relaxed with PBE, using Cu Kα (weighted mean of Kα1 and Kα2).

Cell and atoms:
a = 3.9276 Å, b = 3.9276 Å, c = 11.7881 Å
α = 90.00°, β = 90.00°, γ = 90.00°
Sites, in units of the cell vectors:
Ce: 0.0000 0.0000 0.0000
Er: 0.5000 0.5000 0.5000
Ge: 0.0000 0.0000 0.2972
Ge: 0.0000 0.0000 0.7028
Rh: 0.0000 0.0000 0.5000
Rh: 0.0000 0.5000 0.1702
Rh: 0.0000 0.5000 0.8298
Rh: 0.5000 0.0000 0.1702
Rh: 0.5000 0.0000 0.8298

Principal peaks in the range 10° ≤ 2θ ≤ 90°, most intense first:
| 2θ (°) | I (rel.) |
| --- | --- |
| 46.22 | 100.0 |
| 35.74 | 81.7 |
| 22.63 | 76.3 |
| 44.84 | 68.4 |
| 67.44 | 58.2 |
| 33.14 | 54.9 |

---

Entry 10:
The following is a simulated powder diffraction line list of VGaPt4. It was derived from a cell relaxed with PBE, using Cu Kα (weighted mean of Kα1 and Kα2).

Cell and atoms:
a = 4.0443 Å, b = 4.0443 Å, c = 6.1970 Å
α = 90.00°, β = 90.00°, γ = 90.00°
Sites, in units of the cell vectors:
V: 0.0000 0.0000 0.0000
Ga: 0.5000 0.5000 0.5000
Pt: 0.0000 0.5000 0.2485
Pt: 0.0000 0.5000 0.7515
Pt: 0.5000 0.0000 0.2485
Pt: 0.5000 0.0000 0.7515

Principal peaks in the range 10° ≤ 2θ ≤ 90°, most intense first:
| 2θ (°) | I (rel.) |
| --- | --- |
| 43.04 | 100.0 |
| 31.28 | 61.6 |
| 44.82 | 44.6 |
| 28.81 | 37.9 |
| 81.40 | 31.7 |
| 54.16 | 27.4 |

---

Entry 11:
The following is a simulated powder diffraction line list of PuGa4Pt2Rh. It was derived from a cell relaxed with PBE, using Cu Kα (weighted mean of Kα1 and Kα2).

Cell and atoms:
a = 9.0386 Å, b = 9.0386 Å, c = 9.0386 Å
α = 27.45°, β = 27.45°, γ = 27.45°
Sites, in units of the cell vectors:
Pu: 0.0000 0.0000 0.0000
Ga: 0.1315 0.1315 0.1315
Ga: 0.3978 0.3978 0.3978
Ga: 0.6022 0.6022 0.6022
Ga: 0.8685 0.8685 0.8685
Pt: 0.2363 0.2363 0.2363
Pt: 0.7637 0.7637 0.7637
Rh: 0.5000 0.5000 0.5000

Principal peaks in the range 10° ≤ 2θ ≤ 90°, most intense first:
| 2θ (°) | I (rel.) |
| --- | --- |
| 42.13 | 100.0 |
| 36.68 | 99.1 |
| 27.64 | 54.7 |
| 29.52 | 31.2 |
| 57.07 | 27.7 |
| 73.43 | 26.2 |

---

Entry 12:
The following is a simulated powder diffraction line list of Pm2SnGeAu6. It was derived from a cell relaxed with PBE, using Cu Kα (weighted mean of Kα1 and Kα2).

Cell and atoms:
a = 5.4602 Å, b = 6.9029 Å, c = 6.9865 Å
α = 89.09°, β = 67.52°, γ = 67.16°
Sites, in units of the cell vectors:
Pm: 0.2439 0.2619 0.2536
Pm: 0.7561 0.7381 0.7464
Sn: 0.0000 0.0000 0.0000
Ge: 0.5000 0.5000 0.5000
Au: 0.1761 0.8140 0.3287
Au: 0.2606 0.5615 0.9156
Au: 0.3251 0.1805 0.6743
Au: 0.6749 0.8195 0.3257
Au: 0.7394 0.4385 0.0844
Au: 0.8239 0.1860 0.6713

Principal peaks in the range 10° ≤ 2θ ≤ 90°, most intense first:
| 2θ (°) | I (rel.) |
| --- | --- |
| 37.78 | 100.0 |
| 33.70 | 98.0 |
| 18.21 | 77.9 |
| 36.91 | 67.6 |
| 39.21 | 67.4 |
| 33.43 | 65.2 |